Entry 1:
Starting from DFT lattice parameters and positions (PBE), the powder diffractogram of AgSbPbS3 was computed for a wavelength of 1.5418 Å.
Intensities are scaled so that the largest is 100.

Principal peaks in the range 10° ≤ 2θ ≤ 90°, in order of rising 2θ:
Position (°2θ), I_rel
26.15, 34
26.72, 62
26.96, 27
30.55, 52
31.00, 100
43.57, 37
44.21, 16
44.61, 53
51.98, 22
52.89, 17
55.04, 18
64.62, 11

Structure:
```
24
Lattice="5.855 0.000 0.000 0.000 12.184 0.000 -0.259 0.000 8.194" Properties=species:S:1:pos:R:3 pbc="T T T"
Ag 1.330 1.107 0.837
Ag 1.201 4.986 4.934
Ag 4.395 7.199 3.260
Ag 4.266 11.078 7.357
Sb 1.431 9.129 0.907
Sb 1.301 9.148 5.004
Sb 4.295 3.037 3.190
Sb 4.166 3.056 7.287
Pb 1.401 0.971 5.240
Pb 1.531 5.121 1.143
Pb 4.066 7.064 7.051
Pb 4.195 11.213 2.954
S 1.108 7.256 7.285
S 1.237 11.021 3.188
S 1.269 7.167 3.413
S 1.139 11.109 7.510
S 1.775 2.758 2.918
S 1.646 3.334 7.015
S 3.950 8.850 1.179
S 3.821 9.427 5.276
S 4.457 1.075 0.684
S 4.328 5.017 4.781
S 4.359 1.164 5.006
S 4.489 4.929 0.909
```


Entry 2:
Starting from DFT lattice parameters and positions (PBE), the powder diffractogram of Cr2Co21B6 was computed for a wavelength of 1.5418 Å.
Intensities are scaled so that the largest is 100.

Principal peaks in the range 10° ≤ 2θ ≤ 90°, in order of rising 2θ:
Position (°2θ), I_rel
34.54, 7
38.77, 18
42.64, 27
45.36, 100
49.64, 20
52.08, 26
52.88, 15
58.98, 6
78.06, 19
79.98, 13
83.17, 7
85.08, 7

Structure:
```
29
Lattice="0.000 5.194 5.194 5.194 0.000 5.194 5.194 5.194 0.000" Properties=species:S:1:pos:R:3 pbc="T T T"
Cr 2.597 2.597 2.597
Cr 7.791 7.791 7.791
Co 0.000 0.000 0.000
Co 1.759 1.759 0.000
Co 3.435 3.435 0.000
Co 1.759 0.000 1.759
Co 5.194 3.435 1.759
Co 3.435 0.000 3.435
Co 5.194 1.759 3.435
Co 6.446 3.942 3.942
Co 0.000 1.759 1.759
Co 3.435 5.194 1.759
Co 3.435 1.759 5.194
Co 3.942 3.942 3.942
Co 6.446 6.446 3.942
Co 6.446 3.942 6.446
Co 3.942 6.446 3.942
Co 3.942 3.942 6.446
Co 6.446 6.446 6.446
Co 0.000 3.435 3.435
Co 1.759 5.194 3.435
Co 1.759 3.435 5.194
Co 3.942 6.446 6.446
B 5.194 5.194 2.859
B 5.194 2.859 5.194
B 7.529 5.194 5.194
B 2.859 5.194 5.194
B 5.194 7.529 5.194
B 5.194 5.194 7.529
```


Entry 3:
Starting from DFT lattice parameters and positions (PBE), the powder diffractogram of H4PbI3N was computed for a wavelength of 1.5418 Å.
Intensities are scaled so that the largest is 100.

Principal peaks in the range 10° ≤ 2θ ≤ 90°, in order of rising 2θ:
Position (°2θ), I_rel
13.91, 100
24.11, 12
28.02, 75
31.26, 31
31.56, 30
39.81, 29
40.28, 28
42.34, 10
42.59, 14
49.39, 15
57.92, 9
65.89, 13

Structure:
```
9
Lattice="4.481 -4.523 0.000 4.481 4.523 0.000 -0.110 0.000 6.373" Properties=species:S:1:pos:R:3 pbc="T T T"
H 0.000 0.000 0.000
H 3.824 3.691 5.018
H 0.803 0.000 4.955
H 3.824 -3.691 5.018
Pb 4.433 0.000 2.096
I 6.619 2.312 2.121
I 4.430 0.000 5.285
I 6.619 -2.312 2.121
N 8.807 0.000 5.342
```


Entry 4:
Starting from DFT lattice parameters and positions (PBE), the powder diffractogram of Mg6ZnBi was computed for a wavelength of 1.5418 Å.
Intensities are scaled so that the largest is 100.

Principal peaks in the range 10° ≤ 2θ ≤ 90°, in order of rising 2θ:
Position (°2θ), I_rel
16.08, 26
16.33, 94
16.60, 20
23.20, 51
23.37, 62
32.90, 45
33.01, 24
33.57, 40
36.71, 42
37.17, 100
37.55, 26
62.40, 22

Structure:
```
16
Lattice="5.339 0.000 0.000 0.000 6.235 0.000 0.000 0.000 11.021" Properties=species:S:1:pos:R:3 pbc="T T T"
Mg 0.000 0.000 0.000
Mg 0.000 1.522 8.254
Mg 0.000 1.595 2.744
Mg 0.000 3.117 5.510
Mg 0.000 4.640 2.744
Mg 0.000 4.712 8.254
Mg 2.669 0.000 9.207
Mg 2.669 1.534 6.397
Mg 2.669 1.583 0.886
Mg 2.669 3.117 3.696
Mg 2.669 4.651 0.886
Mg 2.669 4.700 6.397
Zn 0.000 0.000 5.707
Zn 0.000 3.117 0.197
Bi 2.669 0.000 3.661
Bi 2.669 3.117 9.172
```


Entry 5:
Starting from DFT lattice parameters and positions (PBE), the powder diffractogram of MgCd5 was computed for a wavelength of 1.5418 Å.
Intensities are scaled so that the largest is 100.

Principal peaks in the range 10° ≤ 2θ ≤ 90°, in order of rising 2θ:
Position (°2θ), I_rel
32.58, 35
33.29, 16
34.68, 54
36.83, 71
37.25, 100
38.09, 32
59.05, 22
63.29, 20
64.13, 13
69.09, 13
69.52, 13
71.12, 12

Structure:
```
12
Lattice="11.789 0.000 0.000 0.000 3.196 0.000 -2.024 0.000 7.088" Properties=species:S:1:pos:R:3 pbc="T T T"
Mg 0.000 0.000 0.000
Mg 5.894 1.598 0.000
Cd -0.171 1.598 5.156
Cd 1.279 1.598 2.362
Cd 3.179 0.000 0.403
Cd 2.600 0.000 4.763
Cd 4.464 1.598 2.738
Cd 5.724 0.000 5.156
Cd 7.173 0.000 2.362
Cd 9.073 1.598 0.403
Cd 8.494 1.598 4.763
Cd 10.358 0.000 2.738
```


Entry 6:
Starting from DFT lattice parameters and positions (PBE), the powder diffractogram of NaPt2 was computed for a wavelength of 1.5418 Å.
Intensities are scaled so that the largest is 100.

Principal peaks in the range 10° ≤ 2θ ≤ 90°, in order of rising 2θ:
Position (°2θ), I_rel
20.26, 100
33.39, 1
39.37, 81
41.20, 80
47.94, 34
52.56, 25
63.71, 26
70.14, 28
73.87, 19
83.52, 9
84.71, 32
89.45, 9

Structure:
```
6
Lattice="0.000 3.795 3.795 3.795 0.000 3.795 3.795 3.795 0.000" Properties=species:S:1:pos:R:3 pbc="T T T"
Na 0.949 0.949 0.949
Na 6.641 6.641 6.641
Pt 3.795 1.898 1.898
Pt 1.898 3.795 1.898
Pt 1.898 1.898 3.795
Pt 3.795 3.795 3.795
```


Entry 7:
Starting from DFT lattice parameters and positions (PBE), the powder diffractogram of VOs was computed for a wavelength of 1.5418 Å.
Intensities are scaled so that the largest is 100.

Principal peaks in the range 10° ≤ 2θ ≤ 90°, in order of rising 2θ:
Position (°2θ), I_rel
29.54, 43
42.27, 100
52.41, 13
61.32, 16
69.52, 17
77.29, 33

Structure:
```
2
Lattice="3.024 0.000 0.000 0.000 3.024 0.000 0.000 0.000 3.024" Properties=species:S:1:pos:R:3 pbc="T T T"
V 0.000 0.000 0.000
Os 1.512 1.512 1.512
```


Entry 8:
Starting from DFT lattice parameters and positions (PBE), the powder diffractogram of Sc2InC was computed for a wavelength of 1.5418 Å.
Intensities are scaled so that the largest is 100.

Principal peaks in the range 10° ≤ 2θ ≤ 90°, in order of rising 2θ:
Position (°2θ), I_rel
11.50, 20
23.12, 13
30.80, 20
31.35, 18
32.97, 8
34.98, 21
35.53, 100
47.28, 18
54.76, 19
63.09, 17
66.65, 17
67.00, 14

Structure:
```
8
Lattice="3.353 0.000 0.000 -1.676 2.903 0.000 0.000 0.000 15.391" Properties=species:S:1:pos:R:3 pbc="T T T"
Sc 0.000 1.936 1.227
Sc 0.000 1.936 6.469
Sc 1.676 0.968 8.922
Sc 1.676 0.968 14.164
In 0.000 1.936 11.543
In 1.676 0.968 3.848
C 0.000 0.000 0.000
C 0.000 0.000 7.696
```


Entry 9:
Starting from DFT lattice parameters and positions (PBE), the powder diffractogram of Ba2EuMgCu3O7 was computed for a wavelength of 1.5418 Å.
Intensities are scaled so that the largest is 100.

Principal peaks in the range 10° ≤ 2θ ≤ 90°, in order of rising 2θ:
Position (°2θ), I_rel
12.02, 35
25.65, 22
29.06, 61
29.90, 51
32.90, 100
33.31, 68
34.00, 41
34.10, 41
37.78, 33
46.08, 37
48.32, 32
58.52, 33

Structure:
```
14
Lattice="3.767 0.000 0.000 0.000 3.939 0.000 -0.045 0.000 14.725" Properties=species:S:1:pos:R:3 pbc="T T T"
Ba 0.000 0.000 0.000
Ba -0.011 0.000 4.561
Eu -0.023 0.000 8.335
Mg -0.033 1.970 11.951
Cu 1.880 1.970 2.221
Cu 1.866 1.970 6.571
Cu 1.856 1.970 9.913
O -0.018 1.970 6.890
O -0.027 1.970 10.017
O 1.863 0.000 6.730
O 1.874 1.970 4.149
O 1.849 1.970 12.941
O 1.885 0.000 1.638
O 1.860 0.000 9.790
```